Structure and simulated powder XRD pattern of BaMgAlCl2 (a cell relaxed with GGA-PBE; a wavelength of 1.5418 Å).

Principal peaks in the range 10 to 80 degrees two-theta, by intensity:
Position (°2θ)	Rel. int.	(hkl)
28.63	100	1 1 1
23.29	96	1 0 1
33.27	53	2 0 0
47.56	37	2 0 2
40.99	32	2 1 1
32.99	27	0 0 2
56.64	26	3 1 1
16.46	26	1 0 0

Structural model:
a b c (Å): 5.3858 5.3858 5.4298
angles (deg): 90.00 90.00 90.00
Element x y z (fractional)
Ba 0.0000 0.0000 0.0000
Mg 0.5000 0.5000 0.0000
Al 0.5000 0.5000 0.5000
Cl 0.0000 0.5000 0.5000
Cl 0.5000 0.0000 0.5000